Record 1
Theoretical PXRD pattern
Compound: Sr2La6Mn7CuO24
Radiation: Cu Ka
Structure: the PBE+U geometry in the Materials Project
Peak positions follow from Bragg's law for the DFT cell and can differ from measured ones.

Cell and atoms:
```
Sr2La6Mn7CuO24
1.0
5.505 0.000 0.000
0.000 5.595 0.000
-0.271 -0.004 15.697
Sr La Mn Cu O
2 6 7 1 24
direct
0.000 0.000 0.000
0.500 0.499 0.753
0.000 0.000 0.754
0.003 0.998 0.252
0.497 0.502 0.500
0.500 0.501 0.999
0.502 0.501 0.251
0.997 0.006 0.501
0.000 0.500 0.876
0.001 0.502 0.126
0.499 0.001 0.627
0.499 0.002 0.376
0.500 0.000 0.876
0.501 0.000 0.126
0.999 0.499 0.627
0.000 0.502 0.376
0.000 0.565 0.750
0.001 0.437 0.504
0.004 0.567 0.249
0.215 0.215 0.640
0.218 0.799 0.392
0.227 0.227 0.146
0.231 0.770 0.889
0.269 0.270 0.864
0.274 0.727 0.607
0.286 0.716 0.112
0.295 0.281 0.360
0.497 0.937 0.252
0.500 0.064 0.002
0.500 0.067 0.500
0.502 0.952 0.751
0.705 0.723 0.393
0.724 0.277 0.144
0.724 0.724 0.891
0.726 0.273 0.638
0.773 0.774 0.115
0.776 0.777 0.609
0.777 0.224 0.862
0.782 0.205 0.361
0.999 0.452 0.002
```

The 6 most intense peaks (15 to 90 degrees two-theta), in order of rising 2θ:
2θ 22.7, 3.924 Å, I 22
2θ 32.0, 2.794 Å, I 98
2θ 32.5, 2.756 Å, I 100
2θ 39.6, 2.278 Å, I 16
2θ 46.3, 1.962 Å, I 62
2θ 57.3, 1.607 Å, I 27

=====

Record 2
Theoretical PXRD pattern
Compound: SrLa4Mn3Cu2O18
Radiation: Cu Ka
Structure: the PBE+U geometry in the Materials Project
Peak positions follow from Bragg's law for the DFT cell and can differ from measured ones.

Cell and atoms:
```
SrLa4Mn3Cu2O18
1.0
14.203 0.000 0.000
0.000 11.400 0.000
0.000 0.000 5.311
Sr La Mn Cu O
2 8 6 4 36
direct
0.000 0.000 0.000
0.500 0.000 0.500
0.127 0.261 0.294
0.127 0.739 0.706
0.373 0.261 0.206
0.373 0.739 0.794
0.627 0.261 0.206
0.627 0.739 0.794
0.873 0.261 0.294
0.873 0.739 0.706
0.000 0.500 0.500
0.250 0.493 0.750
0.250 0.507 0.250
0.500 0.500 0.000
0.750 0.493 0.750
0.750 0.507 0.250
0.250 0.071 0.750
0.250 0.929 0.250
0.750 0.071 0.750
0.750 0.929 0.250
0.000 0.144 0.291
0.000 0.336 0.509
0.000 0.664 0.491
0.000 0.856 0.709
0.110 0.485 0.260
0.110 0.515 0.740
0.143 0.147 0.836
0.143 0.853 0.164
0.246 0.381 0.007
0.246 0.619 0.993
0.250 0.092 0.250
0.250 0.908 0.750
0.254 0.381 0.493
0.254 0.619 0.507
0.357 0.147 0.664
0.357 0.853 0.336
0.390 0.485 0.240
0.390 0.515 0.760
0.500 0.144 0.209
0.500 0.336 0.991
0.500 0.664 0.009
0.500 0.856 0.791
0.610 0.485 0.240
0.610 0.515 0.760
0.643 0.147 0.664
0.643 0.853 0.336
0.746 0.381 0.493
0.746 0.619 0.507
0.750 0.092 0.250
0.750 0.908 0.750
0.754 0.381 0.007
0.754 0.619 0.993
0.857 0.147 0.836
0.857 0.853 0.164
0.890 0.485 0.260
0.890 0.515 0.740
```

The 6 most intense peaks (15 to 90 degrees two-theta), in order of rising 2θ:
2θ 18.4, 4.814 Å, I 98
2θ 19.5, 4.559 Å, I 27
2θ 28.9, 3.090 Å, I 57
2θ 29.6, 3.014 Å, I 100
2θ 31.3, 2.855 Å, I 86
2θ 50.6, 1.804 Å, I 32

=====

Record 3
Theoretical PXRD pattern
Compound: SrLa3MnCuO8
Radiation: Cu Ka
Structure: the PBE+U geometry in the Materials Project
Peak positions follow from Bragg's law for the DFT cell and can differ from measured ones.

Cell and atoms:
```
SrLa3MnCuO8
1.0
2.717 -6.536 0.000
2.717 6.536 0.000
-0.032 0.000 5.446
Sr La Mn Cu O
1 3 1 1 8
direct
0.000 0.000 0.000
0.215 0.785 0.500
0.496 0.504 0.500
0.717 0.283 0.000
0.357 0.643 0.000
0.860 0.140 0.500
0.042 0.958 0.500
0.102 0.396 0.253
0.107 0.399 0.751
0.190 0.810 0.000
0.533 0.467 0.000
0.601 0.893 0.249
0.604 0.898 0.747
0.669 0.331 0.500
```

The 6 most intense peaks (15 to 90 degrees two-theta), in order of rising 2θ:
2θ 31.0, 2.888 Å, I 76
2θ 31.1, 2.879 Å, I 75
2θ 32.9, 2.720 Å, I 100
2θ 41.8, 2.162 Å, I 26
2θ 43.3, 2.091 Å, I 41
2θ 57.6, 1.600 Å, I 27

=====

Record 4
Theoretical PXRD pattern
Compound: Sr3La9Mn10Cu2O36
Radiation: Cu Ka
Structure: the PBE+U geometry in the Materials Project
Peak positions follow from Bragg's law for the DFT cell and can differ from measured ones.

Cell and atoms:
```
Sr3La9Mn10Cu2O36
1.0
4.746 -2.782 0.000
4.746 2.782 0.000
-0.305 0.000 27.222
Sr La Mn Cu O
3 9 10 2 36
direct
0.000 0.000 0.000
0.335 0.332 0.165
0.668 0.665 0.835
0.000 0.000 0.249
0.000 0.000 0.500
0.000 0.000 0.751
0.332 0.335 0.668
0.333 0.333 0.414
0.334 0.334 0.918
0.665 0.668 0.332
0.666 0.666 0.082
0.667 0.667 0.586
0.001 0.999 0.125
0.001 0.999 0.875
0.332 0.335 0.542
0.333 0.334 0.042
0.333 0.334 0.793
0.337 0.330 0.291
0.665 0.668 0.458
0.666 0.667 0.207
0.666 0.667 0.958
0.670 0.663 0.709
0.000 0.001 0.625
0.999 0.000 0.375
0.036 0.482 0.991
0.044 0.478 0.489
0.104 0.236 0.581
0.112 0.222 0.083
0.152 0.701 0.571
0.154 0.693 0.076
0.187 0.628 0.843
0.193 0.616 0.342
0.209 0.122 0.832
0.234 0.109 0.332
0.299 0.848 0.429
0.307 0.846 0.924
0.372 0.813 0.157
0.384 0.807 0.658
0.439 0.556 0.748
0.444 0.561 0.252
0.483 0.037 0.740
0.485 0.030 0.242
0.518 0.964 0.009
0.522 0.956 0.511
0.541 0.459 0.000
0.564 0.436 0.500
0.613 0.196 0.593
0.639 0.180 0.090
0.701 0.155 0.321
0.702 0.147 0.824
0.764 0.896 0.419
0.778 0.888 0.917
0.804 0.387 0.407
0.820 0.361 0.910
0.845 0.299 0.679
0.853 0.298 0.176
0.878 0.791 0.168
0.891 0.766 0.668
0.963 0.517 0.260
0.970 0.515 0.758
```

The 6 most intense peaks (15 to 90 degrees two-theta), in order of rising 2θ:
2θ 32.2, 2.783 Å, I 98
2θ 32.6, 2.750 Å, I 100
2θ 39.7, 2.268 Å, I 23
2θ 46.4, 1.956 Å, I 63
2θ 57.3, 1.607 Å, I 22
2θ 57.6, 1.600 Å, I 40

=====

Record 5
Theoretical PXRD pattern
Compound: La4Cu3MoO12
Radiation: Cu Ka
Structure: the PBE+U geometry in the Materials Project
Peak positions follow from Bragg's law for the DFT cell and can differ from measured ones.

Cell and atoms:
```
La4Cu3MoO12
1.0
6.940 0.000 0.000
0.000 10.947 0.000
-0.011 0.000 7.992
La Cu Mo O
8 6 2 24
direct
0.238 0.002 0.130
0.238 0.498 0.130
0.249 0.002 0.620
0.249 0.498 0.620
0.751 0.502 0.380
0.751 0.998 0.380
0.762 0.502 0.870
0.762 0.998 0.870
0.110 0.750 0.409
0.116 0.750 0.843
0.456 0.250 0.373
0.544 0.750 0.627
0.884 0.250 0.157
0.890 0.250 0.591
0.421 0.250 0.878
0.579 0.750 0.122
0.084 0.582 0.872
0.084 0.918 0.872
0.085 0.583 0.378
0.085 0.917 0.378
0.263 0.750 0.625
0.285 0.250 0.076
0.290 0.250 0.676
0.312 0.750 0.120
0.416 0.084 0.374
0.416 0.416 0.374
0.420 0.074 0.877
0.420 0.426 0.877
0.580 0.574 0.123
0.580 0.926 0.123
0.584 0.584 0.626
0.584 0.916 0.626
0.688 0.250 0.880
0.710 0.750 0.324
0.715 0.750 0.924
0.737 0.250 0.375
0.915 0.083 0.622
0.915 0.417 0.622
0.916 0.082 0.128
0.916 0.418 0.128
```

The 6 most intense peaks (15 to 90 degrees two-theta), in order of rising 2θ:
2θ 25.7, 3.465 Å, I 34
2θ 30.5, 2.928 Å, I 100
2θ 32.7, 2.737 Å, I 29
2θ 42.1, 2.148 Å, I 28
2θ 45.3, 2.002 Å, I 29
2θ 57.0, 1.615 Å, I 42

=====

- Which formula does entry 2 have?
  SrLa4Mn3Cu2O18